The following is a simulated XRD peak list of AlGaNi2. It was derived from a crystal structure in the Materials Project, relaxed with GGA-PBE, using CuKα.

Structural model:
```
data_AlGaNi2
_chemical_formula_sum 'Al4 Ga4 Ni8'
_cell_length_a 5.793
_cell_length_b 5.793
_cell_length_c 5.793
_cell_angle_alpha 90.00
_cell_angle_beta 90.00
_cell_angle_gamma 90.00
_symmetry_space_group_name_H-M 'F m -3 m'
_symmetry_Int_Tables_number 225
_symmetry_space_group_name_Hall '-F 4 2 3'
loop_
_atom_site_label
_atom_site_type_symbol
_atom_site_fract_x
_atom_site_fract_y
_atom_site_fract_z
_atom_site_occupancy
Al1 Al 0.000 0.000 0.000 1
Ga1 Ga 0.000 0.000 0.500 1
Ni1 Ni 0.250 0.250 0.250 1
```

Peak list (8 most intense, 2θ from 10° to 90°, low angle first)
(hkl)  two_theta  Rel. int.
1 1 1  26.65  11
2 0 0  30.87  2
2 2 0  44.23  100
3 1 1  52.39  5
4 0 0  64.33  15
3 3 1  70.92  2
4 2 2  81.38  30
5 1 1  87.50  1

The following is a simulated XRD peak list of Ce2Bi5Rh3. It was derived from a crystal structure in the Materials Project, relaxed with GGA-PBE, using CuKα.

Structural model:
```
data_Ce2Bi5Rh3
_chemical_formula_sum 'Ce8 Bi20 Rh12'
_cell_length_a 4.665
_cell_length_b 27.385
_cell_length_c 7.577
_cell_angle_alpha 90.00
_cell_angle_beta 90.00
_cell_angle_gamma 90.00
_symmetry_space_group_name_H-M 'C m c 21'
_symmetry_Int_Tables_number 36
loop_
_symmetry_equiv_pos_as_xyz
'x,y,z'
'-x,-y,z+1/2'
'-x,y,z'
'x,-y,z+1/2'
'x+1/2,y+1/2,z'
'-x+1/2,-y+1/2,z+1/2'
'-x+1/2,y+1/2,z'
'x+1/2,-y+1/2,z+1/2'
loop_
_atom_site_label
_atom_site_type_symbol
_atom_site_fract_x
_atom_site_fract_y
_atom_site_fract_z
_atom_site_occupancy
Ce1 Ce 0.000 0.026 0.000 1
Ce2 Ce 0.000 0.329 0.034 1
Bi1 Bi 0.000 0.096 0.375 1
Bi2 Bi 0.000 0.205 0.821 1
Bi3 Bi 0.000 0.211 0.250 1
Bi4 Bi 0.000 0.379 0.508 1
Bi5 Bi 0.000 0.453 0.168 1
Rh1 Rh 0.000 0.103 0.752 1
Rh2 Rh 0.000 0.276 0.540 1
Rh3 Rh 0.000 0.450 0.785 1
```

Peak list (12 most intense, 2θ from 10° to 90°, low angle first)
(hkl)  two_theta  Rel. int.
1 1 2  30.59  32
1 3 2  31.97  100
1 7 1  32.11  75
0 10 1  34.84  21
1 9 0  35.22  24
0 4 3  37.97  24
2 0 0  38.60  56
1 9 2  42.76  27
2 4 3  55.26  16
1 13 3  60.58  22
1 17 0  60.84  15
3 3 2  65.75  23

The following is a simulated XRD peak list of Gd2CF2. It was derived from a crystal structure in the Materials Project, relaxed with GGA-PBE, using CuKα.

Structural model:
```
data_Gd2CF2
_chemical_formula_sum 'Gd2 C1 F2'
_cell_length_a 3.7255
_cell_length_b 3.7255
_cell_length_c 6.5823
_cell_angle_alpha 90.00
_cell_angle_beta 90.00
_cell_angle_gamma 120.00
_symmetry_space_group_name_H-M 'P -3 m 1'
_symmetry_Int_Tables_number 164
_symmetry_space_group_name_Hall '-P 3 2"'
loop_
_atom_site_label
_atom_site_type_symbol
_atom_site_fract_x
_atom_site_fract_y
_atom_site_fract_z
_atom_site_occupancy
Gd1 Gd 0.3333 0.6667 0.2893 1
C1 C 0.0000 0.0000 0.5000 1
F1 F 0.3333 0.6667 0.8820 1
```

Peak list (12 most intense, 2θ from 10° to 90°, low angle first)
(hkl)  two_theta  Rel. int.
0 0 2  27.09  28
1 0 0  27.65  32
0 1 1  30.86  100
1 0 2  39.10  44
1 1 0  48.89  31
0 1 3  50.29  28
1 1 2  56.79  22
2 0 1  58.95  17
1 0 4  63.46  12
0 2 2  64.31  10
1 2 1  80.02  14
2 1 2  84.78  9

The following is a simulated XRD peak list of TaCoAs. It was derived from a crystal structure in the Materials Project, relaxed with GGA-PBE, using CuKα.

Structural model:
```
data_TaCoAs
_chemical_formula_sum 'Ta4 Co4 As4'
_cell_length_a 6.287
_cell_length_b 3.749
_cell_length_c 7.151
_cell_angle_alpha 90.00
_cell_angle_beta 90.00
_cell_angle_gamma 90.00
_symmetry_space_group_name_H-M 'P n m a'
_symmetry_Int_Tables_number 62
loop_
_symmetry_equiv_pos_as_xyz
'x,y,z'
'-x,-y,-z'
'-x+1/2,-y,z+1/2'
'x+1/2,y,-z+1/2'
'x+1/2,-y+1/2,-z+1/2'
'-x+1/2,y+1/2,z+1/2'
'-x,y+1/2,-z'
'x,-y+1/2,z'
loop_
_atom_site_label
_atom_site_type_symbol
_atom_site_fract_x
_atom_site_fract_y
_atom_site_fract_z
_atom_site_occupancy
Ta1 Ta 0.022 0.250 0.171 1
Co1 Co 0.158 0.250 0.566 1
As1 As 0.217 0.750 0.379 1
```

Peak list (12 most intense, 2θ from 10° to 90°, low angle first)
(hkl)  two_theta  Rel. int.
1 0 1  18.79  12
0 1 1  26.85  19
1 1 2  37.59  93
2 0 2  38.12  16
2 1 1  39.48  100
1 0 3  40.47  33
3 0 1  45.08  35
0 2 0  48.57  31
3 0 3  58.69  16
1 2 3  65.01  17
3 1 4  74.17  16
3 2 3  79.55  13

The following is a simulated XRD peak list of Mg6NiW. It was derived from a crystal structure in the Materials Project, relaxed with GGA-PBE, using CuKα.

Structural model:
```
data_Mg6NiW
_chemical_formula_sum 'Mg12 Ni2 W2'
_cell_length_a 4.780
_cell_length_b 5.752
_cell_length_c 10.671
_cell_angle_alpha 90.00
_cell_angle_beta 90.00
_cell_angle_gamma 90.00
_symmetry_space_group_name_H-M 'A m m 2'
_symmetry_Int_Tables_number 38
loop_
_symmetry_equiv_pos_as_xyz
'x,y,z'
'-x,-y,z'
'-x,y,z'
'x,-y,z'
'x,y+1/2,z+1/2'
'-x,-y+1/2,z+1/2'
'-x,y+1/2,z+1/2'
'x,-y+1/2,z+1/2'
loop_
_atom_site_label
_atom_site_type_symbol
_atom_site_fract_x
_atom_site_fract_y
_atom_site_fract_z
_atom_site_occupancy
Mg1 Mg 0.000 0.000 0.000 1
Mg2 Mg 0.000 0.000 0.490 1
Mg3 Mg 0.000 0.244 0.762 1
Mg4 Mg 0.500 0.249 0.105 1
Ni1 Ni 0.500 0.000 0.346 1
W1 W 0.500 0.000 0.856 1
```

Peak list (12 most intense, 2θ from 10° to 90°, low angle first)
(hkl)  two_theta  Rel. int.
0 0 2  16.62  81
0 1 1  17.52  45
1 0 0  18.56  57
1 0 2  25.01  50
1 1 1  25.63  37
0 2 2  35.46  49
1 2 0  36.46  21
2 0 0  37.64  41
1 0 4  38.65  70
1 2 2  40.31  100
2 2 2  52.67  31
0 2 6  61.27  25

The following is a simulated XRD peak list of LiTmF2. It was derived from a crystal structure in the Materials Project, relaxed with GGA-PBE, using CuKα.

Structural model:
```
data_LiTmF2
_chemical_formula_sum 'Li8 Tm8 F16'
_cell_length_a 6.330
_cell_length_b 6.330
_cell_length_c 12.752
_cell_angle_alpha 90.00
_cell_angle_beta 90.00
_cell_angle_gamma 90.00
_symmetry_space_group_name_H-M 'I 41/a m d'
_symmetry_Int_Tables_number 141
loop_
_symmetry_equiv_pos_as_xyz
'x,y,z'
'-x,-y,-z'
'-y+1/4,x+3/4,z+1/4'
'y+1/4,-x+3/4,-z+1/4'
'-x+1/2,-y,z+1/2'
'x+1/2,y,-z+1/2'
'y+1/4,-x+1/4,z+3/4'
'-y+1/4,x+1/4,-z+3/4'
'x,-y,-z'
'-x,y,z'
'-y+1/4,-x+1/4,-z+3/4'
'y+1/4,x+1/4,z+3/4'
'-x+1/2,y,-z+1/2'
'x+1/2,-y,z+1/2'
'y+1/4,x+3/4,-z+1/4'
'-y+1/4,-x+3/4,z+1/4'
'x+1/2,y+1/2,z+1/2'
'-x+1/2,-y+1/2,-z+1/2'
'-y+3/4,x+1/4,z+3/4'
'y+3/4,-x+1/4,-z+3/4'
'-x,-y+1/2,z'
'x,y+1/2,-z'
'y+3/4,-x+3/4,z+1/4'
'-y+3/4,x+3/4,-z+1/4'
'x+1/2,-y+1/2,-z+1/2'
'-x+1/2,y+1/2,z+1/2'
'-y+3/4,-x+3/4,-z+1/4'
'y+3/4,x+3/4,z+1/4'
'-x,y+1/2,-z'
'x,-y+1/2,z'
'y+3/4,x+1/4,-z+3/4'
'-y+3/4,-x+1/4,z+3/4'
loop_
_atom_site_label
_atom_site_type_symbol
_atom_site_fract_x
_atom_site_fract_y
_atom_site_fract_z
_atom_site_occupancy
Li1 Li 0.000 0.000 0.000 1
Tm1 Tm 0.000 0.000 0.500 1
F1 F 0.000 0.011 0.318 1
```

Peak list (12 most intense, 2θ from 10° to 90°, low angle first)
(hkl)  two_theta  Rel. int.
1 0 1  15.63  100
1 0 3  25.24  15
0 0 4  27.99  21
2 0 2  31.56  48
2 1 1  32.40  32
1 0 5  38.04  13
2 2 0  40.30  26
2 1 5  48.01  13
2 2 4  49.78  18
2 0 6  51.81  23
4 2 2  67.82  13
4 2 6  81.74  11

Question: Number 2 is which compound?
Answer: Ce2Bi5Rh3

Question: Which formula does entry 2 have?
Answer: Ce2Bi5Rh3

Question: What is the formula in the fourth record?
Answer: TaCoAs